For Ho3SnS6, DFT lattice parameters and positions (GGA-PBE) gives the computed XRD peak list in this record (Cu Kα (λ = 1.5418 Å)).
Peak positions follow from Bragg's law for the DFT cell and can differ from measured ones.

The 10 most intense peaks (10 to 90 degrees two-theta), sorted by position:
d/Å, 2θ/deg, I (rel.)
3.519, 25.3, 100
3.480, 25.6, 35
3.340, 26.7, 13
2.586, 34.7, 12
2.551, 35.2, 18
2.388, 37.7, 23
2.352, 38.3, 23
2.120, 42.6, 27
1.866, 48.8, 14
1.839, 49.6, 17

a = 8.485 Å, b = 8.485 Å, c = 6.681 Å
α = 90.00°, β = 90.00°, γ = 102.62°
Fractional positions:
Ho  0.095  0.905  0.500
Ho  0.210  0.415  0.400
Ho  0.415  0.210  0.900
Ho  0.585  0.790  0.400
Ho  0.790  0.585  0.900
Ho  0.905  0.095  0.000
Sn  0.327  0.673  0.890
Sn  0.673  0.327  0.390
S  0.068  0.599  0.687
S  0.134  0.196  0.704
S  0.196  0.134  0.204
S  0.270  0.730  0.258
S  0.401  0.932  0.687
S  0.491  0.509  0.634
S  0.509  0.491  0.134
S  0.599  0.068  0.187
S  0.730  0.270  0.758
S  0.804  0.866  0.704
S  0.866  0.804  0.204
S  0.932  0.401  0.187

***

For Zn6S5Cl2, DFT lattice parameters and positions (GGA-PBE) gives the computed XRD peak list in this record (Cu Kα (λ = 1.5418 Å)).
Peak positions follow from Bragg's law for the DFT cell and can differ from measured ones.

The 10 most intense peaks (10 to 90 degrees two-theta), sorted by position:
d/Å, 2θ/deg, I (rel.)
7.429, 11.9, 27
5.985, 14.8, 34
5.362, 16.5, 100
3.714, 24.0, 75
3.288, 27.1, 48
3.053, 29.3, 29
2.681, 33.4, 40
2.513, 35.7, 31
2.417, 37.2, 26
1.912, 47.6, 44

a = 10.674 Å, b = 10.674 Å, c = 8.007 Å
α = 94.07°, β = 94.07°, γ = 44.13°
Fractional positions:
Zn  0.001  0.001  0.182
Zn  0.016  0.623  0.237
Zn  0.064  0.562  0.736
Zn  0.066  0.262  0.990
Zn  0.377  0.984  0.763
Zn  0.438  0.936  0.264
Zn  0.439  0.463  0.643
Zn  0.537  0.561  0.357
Zn  0.571  0.080  0.660
Zn  0.738  0.934  0.010
Zn  0.920  0.429  0.340
Zn  0.999  0.999  0.818
S  0.083  0.135  0.736
S  0.103  0.450  0.458
S  0.114  0.126  0.243
S  0.383  0.354  0.802
S  0.464  0.028  0.018
S  0.550  0.897  0.542
S  0.646  0.617  0.198
S  0.865  0.917  0.264
S  0.874  0.886  0.757
S  0.972  0.536  0.982
Cl  0.239  0.761  0.000
Cl  0.278  0.722  0.500
Cl  0.699  0.301  0.500
Cl  0.761  0.239  0.000

***

For RbNaTlAg, DFT lattice parameters and positions (GGA-PBE) gives the computed XRD peak list in this record (Cu Kα (λ = 1.5418 Å)).
Peak positions follow from Bragg's law for the DFT cell and can differ from measured ones.

The 10 most intense peaks (10 to 90 degrees two-theta), sorted by position:
d/Å, 2θ/deg, I (rel.)
6.639, 13.3, 100
4.102, 21.7, 21
4.005, 22.2, 44
3.321, 26.8, 50
3.294, 27.1, 38
2.943, 30.4, 26
2.571, 34.9, 55
2.509, 35.8, 26
2.392, 37.6, 22
2.002, 45.3, 24

a = 8.980 Å, b = 5.018 Å, c = 7.266 Å
α = 90.00°, β = 113.99°, γ = 90.00°
Fractional positions:
Rb  0.000  0.000  0.000
Rb  0.500  0.500  0.000
Na  0.311  0.500  0.418
Na  0.811  0.000  0.418
Tl  0.043  0.500  0.617
Tl  0.543  0.000  0.617
Ag  0.207  0.000  0.600
Ag  0.707  0.500  0.600

***

For K5PaO4, DFT lattice parameters and positions (GGA-PBE) gives the computed XRD peak list in this record (Cu Kα (λ = 1.5418 Å)).
Peak positions follow from Bragg's law for the DFT cell and can differ from measured ones.

The 10 most intense peaks (10 to 90 degrees two-theta), sorted by position:
d/Å, 2θ/deg, I (rel.)
7.550, 11.7, 100
7.011, 12.6, 71
3.506, 25.4, 32
3.388, 26.3, 36
3.268, 27.3, 31
3.218, 27.7, 58
2.718, 33.0, 22
2.668, 33.6, 55
2.617, 34.3, 25
2.543, 35.3, 28

a = 10.694 Å, b = 10.694 Å, c = 7.828 Å
α = 105.08°, β = 105.08°, γ = 19.69°
Fractional positions:
K  0.000  0.000  0.000
K  0.354  0.354  0.183
K  0.358  0.358  0.621
K  0.642  0.642  0.379
K  0.646  0.646  0.817
Pa  0.000  0.000  0.500
O  0.102  0.102  0.571
O  0.500  0.500  0.316
O  0.500  0.500  0.684
O  0.898  0.898  0.429